Dy2Lu5Te2Pd2: theoretical powder diffraction line list (λ = 1.5418 Å (Cu Kα)), based on a crystal structure in OQMD, relaxed with GGA-PBE.
Kinematic intensities with the Lorentz-polarization factor, no thermal factor.

Peak list (12 most intense, 10° ≤ 2θ ≤ 90°, most intense first)
33.99 deg, d 2.637, rel. 100
33.05 deg, d 2.711, rel. 62
30.13 deg, d 2.966, rel. 51
34.41 deg, d 2.606, rel. 48
46.57 deg, d 1.950, rel. 29
36.40 deg, d 2.468, rel. 25
58.29 deg, d 1.583, rel. 25
30.41 deg, d 2.939, rel. 24
38.28 deg, d 2.351, rel. 22
51.28 deg, d 1.782, rel. 21
28.72 deg, d 3.109, rel. 20
34.86 deg, d 2.574, rel. 16

```
data_Dy2Lu5Te2Pd2
_space_group_name_H-M_alt 'I m m 2'
_space_group_IT_number 44
_cell_length_a 3.9000
_cell_length_b 15.4421
_cell_length_c 9.5651
_cell_angle_alpha 90.00
_cell_angle_beta 90.00
_cell_angle_gamma 90.00
loop_
_space_group_symop_operation_xyz
'x,y,z'
'-x,-y,z'
'-x,y,z'
'x,-y,z'
'x+1/2,y+1/2,z+1/2'
'-x+1/2,-y+1/2,z+1/2'
'-x+1/2,y+1/2,z+1/2'
'x+1/2,-y+1/2,z+1/2'
loop_
_atom_site_label
_atom_site_type_symbol
_atom_site_fract_x
_atom_site_fract_y
_atom_site_fract_z
Dy1 Dy 0.0000 0.1298 0.0000
Lu1 Lu 0.0000 0.0000 0.4187
Lu2 Lu 0.0000 0.3172 0.7927
Lu3 Lu 0.0000 0.3563 0.1499
Te1 Te 0.0000 0.0000 0.7524
Te2 Te 0.0000 0.5000 0.6561
Pd1 Pd 0.0000 0.2333 0.4872
```